Entry 1:
Computed XRD peak list
Compound: TmLu2Fe2Co7
Radiation: Cu Kα (λ = 1.5418 Å)
Structure: a DFT-relaxed cell (GGA-PBE, OQMD)

Most intense lines, 2θ = 15–90°, by angle:
d_spacing  Rel. int.
2.656  54
2.481  60
2.436  43
2.140  42
2.100  100
1.464  18
1.346  23
1.241  22

Crystal structure
a = 8.3892 Å, b = 8.3892 Å, c = 8.3892 Å
α = 34.41°, β = 34.41°, γ = 34.41°
Fractional positions:
Tm: 0.0000 0.0000 0.0000
Lu: 0.1406 0.1406 0.1406
Lu: 0.8594 0.8594 0.8594
Fe: 0.3347 0.3347 0.3347
Fe: 0.6653 0.6653 0.6653
Co: 0.0782 0.5850 0.5850
Co: 0.4150 0.4150 0.9218
Co: 0.4150 0.9218 0.4150
Co: 0.5000 0.5000 0.5000
Co: 0.5850 0.0782 0.5850
Co: 0.5850 0.5850 0.0782
Co: 0.9218 0.4150 0.4150

Entry 2:
Computed XRD peak list
Compound: TmLu2Fe3Co6
Radiation: Cu Kα (λ = 1.5418 Å)
Structure: a DFT-relaxed cell (GGA-PBE, OQMD)

Most intense lines, 2θ = 15–90°, by angle:
d_spacing  Rel. int.
2.652  56
2.491  62
2.431  44
2.148  44
2.103  100
1.350  23
1.327  26
1.246  22

Crystal structure
a = 8.3567 Å, b = 8.3567 Å, c = 8.3567 Å
α = 34.69°, β = 34.69°, γ = 34.69°
Fractional positions:
Tm: 0.0000 0.0000 0.0000
Lu: 0.1402 0.1402 0.1402
Lu: 0.8598 0.8598 0.8598
Fe: 0.3344 0.3344 0.3344
Fe: 0.5000 0.5000 0.5000
Fe: 0.6656 0.6656 0.6656
Co: 0.0779 0.5849 0.5849
Co: 0.4151 0.4151 0.9221
Co: 0.4151 0.9221 0.4151
Co: 0.5849 0.0779 0.5849
Co: 0.5849 0.5849 0.0779
Co: 0.9221 0.4151 0.4151